Record 1
# Sr2P7Br
Simulated powder X-ray diffraction pattern, Cu Kα. Input: the PBE geometry in the Materials Project.

Crystal structure
Unit cell a=9.9176 b=9.9176 c=9.9176 alpha=90.00 beta=90.00 gamma=90.00
Space group P2_13 (No. 198)
Inequivalent atoms, fractional coordinates:
1 Sr 0.0871 0.0871 0.0871 [4 per cell]
2 Sr 0.1476 0.6476 0.8524 [4 per cell]
3 P 0.0366 0.9634 0.4634 [4 per cell]
4 P 0.0567 0.3805 0.2186 [12 per cell]
5 P 0.1128 0.7685 0.2009 [12 per cell]
6 Br 0.0969 0.4031 0.5969 [4 per cell]

The 10 most intense peaks (5° ≤ 2θ ≤ 70°), sorted by position:
hkl 2 1 1, 21.95 deg, 4.049 Å, I 68; hkl 3 0 1, 28.46 deg, 3.136 Å, I 19; hkl 3 0 2, 32.55 deg, 2.751 Å, I 87; hkl 3 2 1, 33.82 deg, 2.651 Å, I 100; hkl 4 1 0, 37.39 deg, 2.405 Å, I 16; hkl 4 1 3, 46.70 deg, 1.945 Å, I 25; hkl 5 1 1, 47.65 deg, 1.909 Å, I 20; hkl 5 3 2, 57.26 deg, 1.609 Å, I 37; hkl 6 2 1, 59.70 deg, 1.549 Å, I 18; hkl 6 2 3, 65.93 deg, 1.417 Å, I 18

***

Record 2
# SbBr3
Simulated powder X-ray diffraction pattern, Cu Kα. Input: the PBE geometry in the Materials Project.

Crystal structure
Unit cell a=4.4631 b=12.3370 c=14.0994 alpha=90.00 beta=90.00 gamma=90.00
Space group P2_12_12_1 (No. 19)
Inequivalent atoms, fractional coordinates:
1 Sb 0.2475 0.0412 0.4613 [4 per cell]
2 Br 0.0184 0.6132 0.6231 [4 per cell]
3 Br 0.0378 0.4745 0.3832 [4 per cell]
4 Br 0.0590 0.3071 0.6156 [4 per cell]

The 10 most intense peaks (5° ≤ 2θ ≤ 70°), sorted by position:
hkl 0 1 1, 9.53 deg, 9.285 Å, I 78; hkl 0 0 2, 12.56 deg, 7.050 Å, I 99; hkl 0 2 0, 14.36 deg, 6.168 Å, I 81; hkl 0 2 2, 19.12 deg, 4.642 Å, I 42; hkl 1 1 1, 22.10 deg, 4.022 Å, I 100; hkl 1 1 2, 24.69 deg, 3.606 Å, I 51; hkl 0 3 2, 25.07 deg, 3.552 Å, I 55; hkl 1 2 1, 25.43 deg, 3.503 Å, I 41; hkl 1 3 2, 32.21 deg, 2.779 Å, I 68; hkl 1 4 1, 35.96 deg, 2.497 Å, I 41

***

Record 3
# CdPPt5
Simulated powder X-ray diffraction pattern, Cu Kα. Input: the PBE geometry in the Materials Project.

Crystal structure
Unit cell a=3.9812 b=3.9812 c=7.1514 alpha=90.00 beta=90.00 gamma=90.00
Space group P4/mmm (No. 123)
Inequivalent atoms, fractional coordinates:
1 Cd 0.0000 0.0000 0.0000 [1 per cell]
2 P 0.5000 0.5000 0.5000 [1 per cell]
3 Pt 0.0000 0.5000 0.2991 [4 per cell]
4 Pt 0.5000 0.5000 0.0000 [1 per cell]

The 10 most intense peaks (5° ≤ 2θ ≤ 70°), sorted by position:
hkl 0 0 2, 24.90 deg, 3.576 Å, I 8; hkl 1 1 0, 31.79 deg, 2.815 Å, I 19; hkl 1 1 1, 34.23 deg, 2.619 Å, I 45; hkl 0 0 3, 37.74 deg, 2.384 Å, I 26; hkl 1 1 2, 40.80 deg, 2.212 Å, I 100; hkl 2 0 0, 45.57 deg, 1.991 Å, I 48; hkl 1 1 3, 50.15 deg, 1.819 Å, I 7; hkl 0 0 4, 51.09 deg, 1.788 Å, I 5; hkl 2 0 3, 60.60 deg, 1.528 Å, I 27; hkl 2 2 0, 66.42 deg, 1.408 Å, I 16

***

Record 4
# CaAl2O4F4
Simulated powder X-ray diffraction pattern, Cu Kα. Input: the PBE geometry in the Materials Project.

Crystal structure
Unit cell a=6.9085 b=11.0204 c=7.8201 alpha=90.00 beta=96.95 gamma=90.00
Space group C2/c (No. 15)
Inequivalent atoms, fractional coordinates:
1 Ca 0.0000 0.0351 0.2500 [4 per cell]
2 Al 0.0000 0.3832 0.2500 [4 per cell]
3 Al 0.2500 0.2500 0.0000 [4 per cell]
4 O 0.0363 0.3516 0.0174 [8 per cell]
5 O 0.1857 0.2565 0.2260 [8 per cell]
6 F 0.0771 0.1180 0.9623 [8 per cell]
7 F 0.1895 0.4913 0.2854 [8 per cell]

The 10 most intense peaks (5° ≤ 2θ ≤ 70°), sorted by position:
hkl 1 1 1, 19.98 deg, 4.444 Å, I 100; hkl 1 3 0, 27.55 deg, 3.238 Å, I 11; hkl 0 2 2, 28.12 deg, 3.173 Å, I 31; hkl 2 2 0, 30.71 deg, 2.911 Å, I 12; hkl 1 1 -3, 36.52 deg, 2.460 Å, I 14; hkl 0 4 2, 40.14 deg, 2.247 Å, I 18; hkl 2 4 0, 42.07 deg, 2.148 Å, I 24; hkl 3 1 -2, 44.26 deg, 2.047 Å, I 11; hkl 0 0 4, 46.81 deg, 1.941 Å, I 33; hkl 3 3 1, 49.57 deg, 1.839 Å, I 17

***

Please write out number 3 again, unchanged.
# CdPPt5
Simulated powder X-ray diffraction pattern, Cu Kα. Input: the PBE geometry in the Materials Project.

Crystal structure
Unit cell a=3.9812 b=3.9812 c=7.1514 alpha=90.00 beta=90.00 gamma=90.00
Space group P4/mmm (No. 123)
Inequivalent atoms, fractional coordinates:
1 Cd 0.0000 0.0000 0.0000 [1 per cell]
2 P 0.5000 0.5000 0.5000 [1 per cell]
3 Pt 0.0000 0.5000 0.2991 [4 per cell]
4 Pt 0.5000 0.5000 0.0000 [1 per cell]

The 10 most intense peaks (5° ≤ 2θ ≤ 70°), sorted by position:
hkl 0 0 2, 24.90 deg, 3.576 Å, I 8; hkl 1 1 0, 31.79 deg, 2.815 Å, I 19; hkl 1 1 1, 34.23 deg, 2.619 Å, I 45; hkl 0 0 3, 37.74 deg, 2.384 Å, I 26; hkl 1 1 2, 40.80 deg, 2.212 Å, I 100; hkl 2 0 0, 45.57 deg, 1.991 Å, I 48; hkl 1 1 3, 50.15 deg, 1.819 Å, I 7; hkl 0 0 4, 51.09 deg, 1.788 Å, I 5; hkl 2 0 3, 60.60 deg, 1.528 Å, I 27; hkl 2 2 0, 66.42 deg, 1.408 Å, I 16